Record 1
Structure and theoretical XRD peak list of LaYMg (a crystal structure in Alexandria, relaxed with PBE; Cu Kα (λ = 1.5418 Å)).

The 10 most intense peaks (2θ from 10° to 80°), sorted by position:
2θ 10.64, I 58; 2θ 26.53, I 47; 2θ 29.26, I 29; 2θ 30.38, I 31; 2θ 30.84, I 55; 2θ 31.03, I 44; 2θ 31.56, I 100; 2θ 33.94, I 87; 2θ 48.43, I 25; 2θ 59.31, I 27

Cell and atoms:
```
6
Lattice="6.1058 -1.8378 0.0000 6.1058 1.8378 0.0000 -3.1981 0.0000 8.3163" Properties=species:S:1:pos:R:3 pbc="T T T"
La 1.6208 0.0000 0.6636
La 7.3927 0.0000 7.6527
Y 5.0547 0.0000 2.4204
Y 3.9587 0.0000 5.8959
Mg 0.4447 0.0000 4.8210
Mg 8.5688 0.0000 3.4953
```

***

Record 2
Structure and theoretical XRD peak list of Ta2CuTc (a crystal structure in Alexandria, relaxed with PBE; Cu Kα (λ = 1.5418 Å)).

The 10 most intense peaks (2θ from 10° to 80°), sorted by position:
2θ 27.89, I 17; 2θ 28.95, I 8; 2θ 39.85, I 53; 2θ 40.63, I 100; 2θ 50.00, I 7; 2θ 57.62, I 18; 2θ 59.99, I 8; 2θ 65.20, I 3; 2θ 72.88, I 35; 2θ 74.46, I 17

Cell and atoms:
```
4
Lattice="3.1994 0.0000 0.0000 0.0000 3.1994 0.0000 0.0000 0.0000 6.1683" Properties=species:S:1:pos:R:3 pbc="T T T"
Ta 0.0000 0.0000 1.5313
Ta 0.0000 0.0000 4.6370
Cu 1.5997 1.5997 0.0000
Tc 1.5997 1.5997 3.0841
```